This entry pairs a crystal structure of Er6ZnSi2 with its simulated PXRD pattern. Radiation: Cu Kα (weighted mean of Kα1 and Kα2). Structure: a structure optimized by DFT (PBE).

a b c (Å): 8.343 8.343 8.343
angles (deg): 111.43 110.77 106.26
Element x y z (fractional)
Er1 0.030 0.825 0.205
Er2 0.250 0.555 0.305
Er3 0.250 0.945 0.695
Er4 0.266 0.323 0.589
Er5 0.266 0.677 0.944
Er6 0.380 0.175 0.205
Er7 0.620 0.825 0.795
Er8 0.734 0.323 0.056
Er9 0.734 0.677 0.411
Er10 0.750 0.055 0.305
Er11 0.750 0.445 0.695
Er12 0.970 0.175 0.795
Zn1 0.000 0.500 0.500
Zn2 0.500 0.000 0.500
Si1 0.000 0.145 0.145
Si2 0.000 0.855 0.855
Si3 0.382 0.382 0.000
Si4 0.618 0.618 0.000

Top 12 peaks for 2θ from 15° to 90°, most intense first:
d [Å], intensity
2.777, 100
2.993, 47
2.529, 40
2.620, 38
2.557, 37
3.145, 29
2.370, 28
3.442, 28
1.543, 19
1.616, 19
1.574, 17
2.210, 17

***

This entry pairs a crystal structure of Er3Zn3Si with its simulated PXRD pattern. Radiation: Cu Kα (weighted mean of Kα1 and Kα2). Structure: a structure optimized by DFT (PBE).

a b c (Å): 9.689 9.689 9.689
angles (deg): 156.57 155.33 34.29
Element x y z (fractional)
Er1 0.000 0.000 0.000
Er2 0.375 0.375 0.000
Er3 0.697 0.197 0.500
Zn1 0.125 0.625 0.500
Zn2 0.547 0.547 0.000
Zn3 0.832 0.832 0.000
Si1 0.256 0.756 0.500

Top 12 peaks for 2θ from 15° to 90°, most intense first:
d [Å], intensity
2.726, 100
2.697, 59
3.438, 35
2.229, 32
1.642, 27
2.070, 25
2.428, 24
3.086, 22
1.968, 21
1.239, 21
1.475, 17
1.426, 15

***

This entry pairs a crystal structure of Sm6Er with its simulated PXRD pattern. Radiation: Cu Kα (weighted mean of Kα1 and Kα2). Structure: a structure optimized by DFT (PBE).

a b c (Å): 6.548 6.548 11.216
angles (deg): 90.00 90.00 90.00
Element x y z (fractional)
Sm1 0.082 0.582 0.139
Sm2 0.082 0.918 0.861
Sm3 0.250 0.250 0.363
Sm4 0.250 0.250 0.637
Sm5 0.418 0.582 0.861
Sm6 0.418 0.918 0.139
Sm7 0.582 0.082 0.861
Sm8 0.582 0.418 0.139
Sm9 0.750 0.750 0.363
Sm10 0.750 0.750 0.637
Sm11 0.918 0.082 0.139
Sm12 0.918 0.418 0.861
Er1 0.250 0.750 0.500
Er2 0.750 0.250 0.500

Top 12 peaks for 2θ from 15° to 90°, most intense first:
d [Å], intensity
3.143, 100
2.909, 78
2.596, 74
2.833, 65
1.666, 54
2.804, 28
2.315, 27
1.427, 27
3.739, 23
1.781, 22
1.528, 22
2.463, 21

***

This entry pairs a crystal structure of Sm13Er3 with its simulated PXRD pattern. Radiation: Cu Kα (weighted mean of Kα1 and Kα2). Structure: a structure optimized by DFT (PBE).

a b c (Å): 7.320 8.575 8.575
angles (deg): 84.81 90.00 90.00
Element x y z (fractional)
Sm1 0.000 0.000 0.000
Sm2 0.000 0.421 0.915
Sm3 0.000 0.502 0.502
Sm4 0.000 0.915 0.421
Sm5 0.250 0.250 0.250
Sm6 0.251 0.166 0.670
Sm7 0.251 0.670 0.166
Sm8 0.500 0.419 0.916
Sm9 0.500 0.502 0.502
Sm10 0.500 0.916 0.419
Sm11 0.749 0.166 0.670
Sm12 0.749 0.670 0.166
Sm13 0.750 0.250 0.250
Er1 0.251 0.752 0.752
Er2 0.500 0.999 0.999
Er3 0.749 0.752 0.752

Top 12 peaks for 2θ from 15° to 90°, most intense first:
d [Å], intensity
2.778, 100
2.891, 25
3.168, 24
1.647, 21
1.528, 16
2.135, 16
1.545, 15
1.828, 13
1.173, 9
1.134, 8
1.224, 8
1.546, 8